Record 1
Structure and calculated XRD peak list of CsRb3H6Au2 (a structure optimized by DFT (GGA-PBE); a wavelength of 1.5418 Å).
Peak positions follow from Bragg's law for the DFT cell and can differ from measured ones.

Structure:
```
data_CsRb3H6Au2
_cell_length_a 6.4798
_cell_length_b 6.4798
_cell_length_c 8.2875
_cell_angle_alpha 90.00
_cell_angle_beta 90.00
_cell_angle_gamma 120.00
_symmetry_space_group_name_H-M 'P -3 m 1'
_symmetry_Int_Tables_number 164
_symmetry_space_group_name_Hall '-P 3 2"'
loop_
_atom_site_label
_atom_site_type_symbol
_atom_site_fract_x
_atom_site_fract_y
_atom_site_fract_z
Cs1 Cs 0.0000 0.0000 0.0000
Rb1 Rb 0.0000 0.0000 0.5000
Rb2 Rb 0.3333 0.6667 0.3029
H1 H 0.1791 0.3583 0.7299
Au1 Au 0.3333 0.6667 0.7293
```

Top 10 peaks for 10° ≤ 2θ ≤ 90°, sorted by position:
Position (°2θ)  I/Imax  hkl
19.10  37  1 0 1
26.74  80  1 0 2
27.53  100  1 1 0
35.16  16  1 1 2
38.76  30  0 2 2
48.20  31  2 1 2
48.68  21  3 0 0
52.42  20  1 1 4
56.83  13  2 2 0
63.89  14  1 3 2

---

Record 2
Structure and calculated XRD peak list of CsTlH6Au2 (a structure optimized by DFT (GGA-PBE); a wavelength of 1.5418 Å).
Peak positions follow from Bragg's law for the DFT cell and can differ from measured ones.

Structure:
```
data_CsTlH6Au2
_cell_length_a 8.193
_cell_length_b 13.263
_cell_length_c 6.168
_cell_angle_alpha 90.00
_cell_angle_beta 92.47
_cell_angle_gamma 90.00
_symmetry_space_group_name_H-M 'C 1 2/c 1'
_symmetry_Int_Tables_number 15
loop_
_symmetry_equiv_pos_as_xyz
'x,y,z'
'-x,-y,-z'
'-x,y,-z+1/2'
'x,-y,z+1/2'
'x+1/2,y+1/2,z'
'-x+1/2,-y+1/2,-z'
'-x+1/2,y+1/2,-z+1/2'
'x+1/2,-y+1/2,z+1/2'
loop_
_atom_site_label
_atom_site_type_symbol
_atom_site_fract_x
_atom_site_fract_y
_atom_site_fract_z
Cs1 Cs 0.000 0.116 0.250
Tl1 Tl 0.000 0.365 0.750
H1 H 0.129 0.113 0.772
H2 H 0.171 0.302 0.403
H3 H 0.171 0.494 0.059
Au1 Au 0.168 0.399 0.236
```

Top 10 peaks for 10° ≤ 2θ ≤ 90°, sorted by position:
Position (°2θ)  I/Imax  hkl
12.71  42  1 1 0
26.89  50  0 4 0
28.98  100  0 0 2
29.93  41  2 2 1
33.53  10  3 1 0
39.94  32  0 4 2
41.03  10  3 3 -1
48.24  10  4 2 -1
49.48  12  4 2 1
50.78  17  2 2 -3

---

Record 3
Structure and calculated XRD peak list of Cs3Hg5Au2 (a structure optimized by DFT (GGA-PBE); a wavelength of 1.5418 Å).
Peak positions follow from Bragg's law for the DFT cell and can differ from measured ones.

Structure:
```
data_Cs3Hg5Au2
_cell_length_a 12.161
_cell_length_b 16.277
_cell_length_c 7.616
_cell_angle_alpha 90.00
_cell_angle_beta 90.00
_cell_angle_gamma 90.00
_symmetry_space_group_name_H-M 'I b a m'
_symmetry_Int_Tables_number 72
_symmetry_space_group_name_Hall '-I 2 2c'
loop_
_atom_site_label
_atom_site_type_symbol
_atom_site_fract_x
_atom_site_fract_y
_atom_site_fract_z
Cs1 Cs 0.000 0.000 0.250
Cs2 Cs 0.218 0.360 0.000
Hg1 Hg 0.000 0.230 0.250
Hg2 Hg 0.000 0.500 0.250
Hg3 Hg 0.112 0.371 0.500
Au1 Au 0.151 0.144 0.000
```

Top 10 peaks for 10° ≤ 2θ ≤ 90°, sorted by position:
Position (°2θ)  I/Imax  hkl
14.57  18  2 0 0
17.54  27  1 2 1
26.35  47  2 4 0
27.22  42  3 2 1
27.64  49  2 0 2
32.19  100  0 4 2
36.91  30  4 4 0
37.87  36  4 0 2
40.48  15  5 2 1
47.77  18  0 0 4

---

Record 4
Structure and calculated XRD peak list of CsHg22Au6 (a structure optimized by DFT (GGA-PBE); a wavelength of 1.5418 Å).
Peak positions follow from Bragg's law for the DFT cell and can differ from measured ones.

Structure:
```
data_CsHg22Au6
_cell_length_a 14.753
_cell_length_b 14.753
_cell_length_c 14.753
_cell_angle_alpha 90.00
_cell_angle_beta 90.00
_cell_angle_gamma 90.00
_symmetry_space_group_name_H-M 'F m -3 m'
_symmetry_Int_Tables_number 225
_symmetry_space_group_name_Hall '-F 4 2 3'
loop_
_atom_site_label
_atom_site_type_symbol
_atom_site_fract_x
_atom_site_fract_y
_atom_site_fract_z
Cs1 Cs 0.000 0.000 0.000
Hg1 Hg 0.000 0.179 0.179
Hg2 Hg 0.116 0.116 0.384
Hg3 Hg 0.250 0.250 0.250
Au1 Au 0.000 0.000 0.257
```

Top 10 peaks for 10° ≤ 2θ ≤ 90°, sorted by position:
Position (°2θ)  I/Imax  hkl
31.51  100  3 3 3
34.39  68  4 4 0
36.02  42  5 3 1
36.54  15  6 0 0
40.56  43  6 2 2
52.64  23  6 6 0
53.81  15  5 5 5
61.59  35  8 4 4
82.75  13  12 4 0
86.21  15  9 9 3

---

Record 5
Structure and calculated XRD peak list of CsHg4Au3 (a structure optimized by DFT (GGA-PBE); a wavelength of 1.5418 Å).
Peak positions follow from Bragg's law for the DFT cell and can differ from measured ones.

Structure:
```
data_CsHg4Au3
_cell_length_a 8.019
_cell_length_b 8.019
_cell_length_c 8.019
_cell_angle_alpha 90.00
_cell_angle_beta 90.00
_cell_angle_gamma 90.00
_symmetry_space_group_name_H-M 'P m -3 n'
_symmetry_Int_Tables_number 223
_symmetry_space_group_name_Hall '-P 4n 2 3'
loop_
_atom_site_label
_atom_site_type_symbol
_atom_site_fract_x
_atom_site_fract_y
_atom_site_fract_z
Cs1 Cs 0.000 0.000 0.000
Hg1 Hg 0.250 0.250 0.250
Au1 Au 0.000 0.250 0.500
```

Top 10 peaks for 10° ≤ 2θ ≤ 90°, sorted by position:
Position (°2θ)  I/Imax  hkl
22.17  43  2 0 0
24.83  92  2 1 0
27.24  51  2 1 1
31.56  87  2 2 0
38.91  100  2 2 2
42.16  32  3 2 1
45.23  71  4 0 0
56.19  35  4 2 2
65.89  47  4 4 0
79.24  40  6 2 2

---

Record 6
Structure and calculated XRD peak list of Cs8Hg3Au (a structure optimized by DFT (GGA-PBE); a wavelength of 1.5418 Å).
Peak positions follow from Bragg's law for the DFT cell and can differ from measured ones.

Structure:
```
data_Cs8Hg3Au
_cell_length_a 10.641
_cell_length_b 14.737
_cell_length_c 11.175
_cell_angle_alpha 90.00
_cell_angle_beta 90.00
_cell_angle_gamma 90.00
_symmetry_space_group_name_H-M 'C 2 2 2'
_symmetry_Int_Tables_number 21
loop_
_symmetry_equiv_pos_as_xyz
'x,y,z'
'-x,-y,z'
'x,-y,-z'
'-x,y,-z'
'x+1/2,y+1/2,z'
'-x+1/2,-y+1/2,z'
'x+1/2,-y+1/2,-z'
'-x+1/2,y+1/2,-z'
loop_
_atom_site_label
_atom_site_type_symbol
_atom_site_fract_x
_atom_site_fract_y
_atom_site_fract_z
Cs1 Cs 0.000 0.232 0.000
Cs2 Cs 0.000 0.256 0.500
Cs3 Cs 0.236 0.489 0.733
Hg1 Hg 0.000 0.500 0.000
Hg2 Hg 0.250 0.250 0.248
Au1 Au 0.000 0.500 0.500
```

Top 10 peaks for 10° ≤ 2θ ≤ 90°, sorted by position:
Position (°2θ)  I/Imax  hkl
10.25  32  1 1 0
12.96  29  1 1 1
21.45  19  1 3 1
23.08  100  2 0 2
24.16  43  0 4 0
32.04  21  0 0 4
33.67  96  4 0 0
40.53  22  0 4 4
41.89  20  4 4 0
53.69  19  4 4 4